Computed XRD peak list of Ce3Cl for Cu Kα, 1.54184 Å, from a PBE-relaxed structure.
Kinematic intensities with the Lorentz-polarization factor, no thermal factor.

```
data_Ce3Cl
_cell_length_a 4.4877
_cell_length_b 4.4877
_cell_length_c 4.4877
_cell_angle_alpha 90.00
_cell_angle_beta 90.00
_cell_angle_gamma 90.00
_space_group_name_H-M_alt 'P m -3 m'
_space_group_IT_number 221
_space_group_name_Hall '-P 4 2 3'
loop_
_atom_site_label
_atom_site_type_symbol
_atom_site_fract_x
_atom_site_fract_y
_atom_site_fract_z
_atom_site_occupancy
Ce1 Ce 0.0000 0.0000 0.5000 1
Cl1 Cl 0.5000 0.5000 0.5000 1
```

Peak list (6 most intense, 15 to 90 degrees two-theta, most intense first)
| 2θ (°) | I_rel |
| --- | --- |
| 34.62 | 100 |
| 40.19 | 49 |
| 69.47 | 38 |
| 58.14 | 33 |
| 19.78 | 15 |
| 28.12 | 13 |


Computed XRD peak list of CaH2O2 for Cu Kα, 1.54184 Å, from a PBE-relaxed structure.
Kinematic intensities with the Lorentz-polarization factor, no thermal factor.

```
data_CaH2O2
_cell_length_a 3.6196
_cell_length_b 3.6196
_cell_length_c 4.9339
_cell_angle_alpha 90.00
_cell_angle_beta 90.00
_cell_angle_gamma 120.00
_space_group_name_H-M_alt 'P -3 m 1'
_space_group_IT_number 164
_space_group_name_Hall '-P 3 2"'
loop_
_atom_site_label
_atom_site_type_symbol
_atom_site_fract_x
_atom_site_fract_y
_atom_site_fract_z
_atom_site_occupancy
Ca1 Ca 0.0000 0.0000 0.0000 1
H1 H 0.3333 0.6667 0.5691 1
O1 O 0.3333 0.6667 0.7666 1
```

Peak list (6 most intense, 15 to 90 degrees two-theta, most intense first)
| 2θ (°) | I_rel |
| --- | --- |
| 33.88 | 100 |
| 17.98 | 60 |
| 46.86 | 45 |
| 50.42 | 31 |
| 28.47 | 17 |
| 53.97 | 17 |


Computed XRD peak list of FeBiSbS4 for Cu Kα, 1.54184 Å, from a PBE-relaxed structure.
Kinematic intensities with the Lorentz-polarization factor, no thermal factor.

```
data_FeBiSbS4
_cell_length_a 11.5877
_cell_length_b 3.6527
_cell_length_c 13.8428
_cell_angle_alpha 90.00
_cell_angle_beta 90.00
_cell_angle_gamma 90.00
_space_group_name_H-M_alt 'P n m a'
_space_group_IT_number 62
loop_
_space_group_symop_operation_xyz
'x,y,z'
'-x,-y,-z'
'-x+1/2,-y,z+1/2'
'x+1/2,y,-z+1/2'
'x+1/2,-y+1/2,-z+1/2'
'-x+1/2,y+1/2,z+1/2'
'-x,y+1/2,-z'
'x,-y+1/2,z'
loop_
_atom_site_label
_atom_site_type_symbol
_atom_site_fract_x
_atom_site_fract_y
_atom_site_fract_z
_atom_site_occupancy
Fe1 Fe 0.1700 0.2500 0.1640 1
Bi1 Bi 0.0350 0.2500 0.6110 1
Sb1 Sb 0.1475 0.7500 0.9304 1
S1 S 0.0624 0.7500 0.1034 1
S2 S 0.1013 0.2500 0.3117 1
S3 S 0.2209 0.2500 0.7197 1
S4 S 0.2371 0.7500 0.5196 1
```

Peak list (6 most intense, 15 to 90 degrees two-theta, most intense first)
| 2θ (°) | I_rel |
| --- | --- |
| 28.69 | 100 |
| 23.92 | 79 |
| 34.95 | 76 |
| 30.09 | 49 |
| 34.41 | 47 |
| 24.66 | 38 |


Computed XRD peak list of CsB6H6 for Cu Kα, 1.54184 Å, from a PBE-relaxed structure.
Kinematic intensities with the Lorentz-polarization factor, no thermal factor.

```
data_CsB6H6
_cell_length_a 11.4190
_cell_length_b 11.4190
_cell_length_c 11.4190
_cell_angle_alpha 90.00
_cell_angle_beta 90.00
_cell_angle_gamma 90.00
_space_group_name_H-M_alt 'F m -3'
_space_group_IT_number 202
_space_group_name_Hall '-F 2 2 3'
loop_
_atom_site_label
_atom_site_type_symbol
_atom_site_fract_x
_atom_site_fract_y
_atom_site_fract_z
_atom_site_occupancy
Cs1 Cs 0.2500 0.2500 0.2500 1
B1 B 0.0000 0.0778 0.1262 1
H1 H 0.0000 0.1327 0.2163 1
```

Peak list (6 most intense, 15 to 90 degrees two-theta, most intense first)
| 2θ (°) | I_rel |
| --- | --- |
| 22.02 | 100 |
| 35.15 | 64 |
| 15.52 | 56 |
| 38.63 | 37 |
| 27.05 | 36 |
| 47.79 | 28 |


Computed XRD peak list of Rb5Bi4 for Cu Kα, 1.54184 Å, from a PBE-relaxed structure.
Kinematic intensities with the Lorentz-polarization factor, no thermal factor.

```
data_Rb5Bi4
_cell_length_a 13.3476
_cell_length_b 5.9037
_cell_length_c 12.1032
_cell_angle_alpha 90.00
_cell_angle_beta 111.72
_cell_angle_gamma 90.00
_space_group_name_H-M_alt 'C 1 m 1'
_space_group_IT_number 8
loop_
_space_group_symop_operation_xyz
'x,y,z'
'x,-y,z'
'x+1/2,y+1/2,z'
'x+1/2,-y+1/2,z'
loop_
_atom_site_label
_atom_site_type_symbol
_atom_site_fract_x
_atom_site_fract_y
_atom_site_fract_z
_atom_site_occupancy
Rb1 Rb 0.0000 0.0000 0.0000 1
Rb2 Rb 0.0105 0.5000 0.3362 1
Rb3 Rb 0.1628 0.5000 0.7752 1
Rb4 Rb 0.2336 0.5000 0.1533 1
Rb5 Rb 0.3592 0.5000 0.5580 1
Bi1 Bi 0.1553 0.0000 0.5602 1
Bi2 Bi 0.2164 0.0000 0.3445 1
Bi3 Bi 0.3070 0.0000 0.9947 1
Bi4 Bi 0.3671 0.0000 0.7771 1
```

Peak list (6 most intense, 15 to 90 degrees two-theta, most intense first)
| 2θ (°) | I_rel |
| --- | --- |
| 29.78 | 100 |
| 16.63 | 93 |
| 29.71 | 78 |
| 30.28 | 77 |
| 24.78 | 74 |
| 26.82 | 68 |


Computed XRD peak list of Er4Fe34C3 for Cu Kα, 1.54184 Å, from a PBE-relaxed structure.
Kinematic intensities with the Lorentz-polarization factor, no thermal factor.

```
data_Er4Fe34C3
_cell_length_a 6.4408
_cell_length_b 6.4754
_cell_length_c 12.9017
_cell_angle_alpha 83.47
_cell_angle_beta 82.99
_cell_angle_gamma 83.54
_space_group_name_H-M_alt 'P -1'
_space_group_IT_number 2
loop_
_space_group_symop_operation_xyz
'x,y,z'
'-x,-y,-z'
loop_
_atom_site_label
_atom_site_type_symbol
_atom_site_fract_x
_atom_site_fract_y
_atom_site_fract_z
_atom_site_occupancy
Er1 Er 0.1543 0.1635 0.0775 1
Er2 Er 0.1603 0.1611 0.5759 1
Fe1 Fe 0.9999 0.4990 0.2504 1
Fe2 Fe 0.1553 0.1585 0.8237 1
Fe3 Fe 0.1551 0.6475 0.0771 1
Fe4 Fe 0.1552 0.6511 0.5769 1
Fe5 Fe 0.1574 0.1568 0.3258 1
Fe6 Fe 0.2094 0.4986 0.8954 1
Fe7 Fe 0.2086 0.5008 0.3963 1
Fe8 Fe 0.2155 0.7845 0.7499 1
Fe9 Fe 0.2157 0.7848 0.2501 1
Fe10 Fe 0.3495 0.8441 0.4232 1
Fe11 Fe 0.3510 0.8417 0.9222 1
Fe12 Fe 0.4038 0.4023 0.2022 1
Fe13 Fe 0.4042 0.4048 0.7006 1
Fe14 Fe 0.4981 0.0003 0.7490 1
Fe15 Fe 0.5000 0.2092 0.3965 1
Fe16 Fe 0.4997 0.2161 0.8920 1
Fe17 Fe 0.5000 0.5000 0.0000 1
Fe18 Fe 0.5000 0.5000 0.5000 1
C1 C 0.0004 0.0012 0.2504 1
C2 C 0.5000 0.0000 0.0000 1
```

Peak list (6 most intense, 15 to 90 degrees two-theta, most intense first)
| 2θ (°) | I_rel |
| --- | --- |
| 42.61 | 100 |
| 42.00 | 69 |
| 43.76 | 55 |
| 42.37 | 48 |
| 36.35 | 42 |
| 30.00 | 33 |


Computed XRD peak list of LiCuF3 for Cu Kα, 1.54184 Å, from a PBE-relaxed structure.
Kinematic intensities with the Lorentz-polarization factor, no thermal factor.

```
data_LiCuF3
_cell_length_a 5.1746
_cell_length_b 5.2833
_cell_length_c 7.9188
_cell_angle_alpha 88.60
_cell_angle_beta 87.06
_cell_angle_gamma 85.81
_space_group_name_H-M_alt 'P -1'
_space_group_IT_number 2
loop_
_space_group_symop_operation_xyz
'x,y,z'
'-x,-y,-z'
loop_
_atom_site_label
_atom_site_type_symbol
_atom_site_fract_x
_atom_site_fract_y
_atom_site_fract_z
_atom_site_occupancy
Li1 Li 0.0070 0.4525 0.2654 1
Li2 Li 0.4890 0.0341 0.7656 1
Cu1 Cu 0.0000 0.0000 0.0000 1
Cu2 Cu 0.0000 0.0000 0.5000 1
Cu3 Cu 0.5000 0.5000 0.0000 1
Cu4 Cu 0.5000 0.5000 0.5000 1
F1 F 0.1397 0.9087 0.7758 1
F2 F 0.1648 0.6686 0.4421 1
F3 F 0.1721 0.6772 0.0887 1
F4 F 0.3023 0.1578 0.4088 1
F5 F 0.3454 0.1926 0.0618 1
F6 F 0.3605 0.4024 0.7225 1
```

Peak list (6 most intense, 15 to 90 degrees two-theta, most intense first)
| 2θ (°) | I_rel |
| --- | --- |
| 22.49 | 100 |
| 23.26 | 86 |
| 25.02 | 74 |
| 31.70 | 43 |
| 33.54 | 31 |
| 40.81 | 27 |


Computed XRD peak list of Sr3Co2N4 for Cu Kα, 1.54184 Å, from a PBE-relaxed structure.
Kinematic intensities with the Lorentz-polarization factor, no thermal factor.

```
data_Sr3Co2N4
_cell_length_a 11.1908
_cell_length_b 8.6370
_cell_length_c 5.5587
_cell_angle_alpha 90.00
_cell_angle_beta 94.32
_cell_angle_gamma 90.00
_space_group_name_H-M_alt 'C 1 2/c 1'
_space_group_IT_number 15
loop_
_space_group_symop_operation_xyz
'x,y,z'
'-x,-y,-z'
'-x,y,-z+1/2'
'x,-y,z+1/2'
'x+1/2,y+1/2,z'
'-x+1/2,-y+1/2,-z'
'-x+1/2,y+1/2,-z+1/2'
'x+1/2,-y+1/2,z+1/2'
loop_
_atom_site_label
_atom_site_type_symbol
_atom_site_fract_x
_atom_site_fract_y
_atom_site_fract_z
_atom_site_occupancy
Sr1 Sr 0.0000 0.0932 0.2500 1
Sr2 Sr 0.1252 0.3644 0.5539 1
Co1 Co 0.2101 0.1272 0.9272 1
N1 N 0.1257 0.3122 0.0299 1
N2 N 0.1752 0.0585 0.6047 1
```

Peak list (6 most intense, 15 to 90 degrees two-theta, most intense first)
| 2θ (°) | I_rel |
| --- | --- |
| 31.39 | 100 |
| 29.76 | 62 |
| 41.82 | 56 |
| 34.35 | 39 |
| 42.21 | 31 |
| 45.73 | 21 |